Structure and calculated powder XRD pattern of Sr4LaMn5O15 (a PBE+U-relaxed structure; Cu Kα, 1.54184 Å).

Atomic structure:
Cell: 8.692 8.692 6.729 Å, 104.94 104.94 36.89°
Positions (direct):
Sr 0.100 0.100 0.400
Sr 0.300 0.300 0.201
Sr 0.700 0.700 0.799
Sr 0.900 0.900 0.600
La 0.500 0.500 0.000
Mn 0.101 0.101 0.900
Mn 0.299 0.299 0.698
Mn 0.500 0.500 0.500
Mn 0.701 0.701 0.302
Mn 0.899 0.899 0.100
O 0.000 0.000 0.000
O 0.000 0.500 0.500
O 0.110 0.600 0.900
O 0.202 0.202 0.808
O 0.205 0.697 0.294
O 0.303 0.795 0.706
O 0.400 0.890 0.100
O 0.402 0.402 0.605
O 0.500 0.000 0.500
O 0.598 0.598 0.395
O 0.600 0.110 0.900
O 0.697 0.205 0.294
O 0.795 0.303 0.706
O 0.798 0.798 0.192
O 0.890 0.400 0.100

Main lines, sorted by position (10° ≤ 2θ ≤ 80°):
two_theta  I_rel
11.15  1.1
22.88  3.3
32.58  100.0
40.18  16.0
46.74  37.3
52.65  2.4
58.13  37.7
68.24  21.3
73.02  1.5
77.68  16.1